[1]
This entry pairs a crystal structure of CsCoWO3F3 with its computed XRD peak list. Radiation: Cu Ka. Structure: the GGA+U geometry in Alexandria.
Intensities are scaled so that the largest is 100.

Structure:
```
data_CsCoWO3F3
_chemical_formula_sum 'Cs4 Co4 W4 O12 F12'
_symmetry_space_group_name_H-M 'C 1 2/c 1'
_symmetry_Int_Tables_number 15
_cell_length_a 10.3279
_cell_length_b 10.6706
_cell_length_c 7.4821
_cell_angle_alpha 90.00
_cell_angle_beta 133.17
_cell_angle_gamma 90.00
loop_
_symmetry_equiv_pos_as_xyz
'x,y,z'
'-x,-y,-z'
'-x,y,-z+1/2'
'x,-y,z+1/2'
'x+1/2,y+1/2,z'
'-x+1/2,-y+1/2,-z'
'-x+1/2,y+1/2,-z+1/2'
'x+1/2,-y+1/2,z+1/2'
loop_
_atom_site_label
_atom_site_fract_x
_atom_site_fract_y
_atom_site_fract_z
_atom_site_occupancy
Cs1 0.0000 0.1205 0.2500 1
Co1 0.2500 0.2500 0.0000 1
W1 0.0000 0.5000 0.0000 1
O1 0.0000 0.4471 0.2500 1
O2 0.1590 0.3725 0.0950 1
F1 0.0000 0.1708 0.7500 1
F2 0.2037 0.3855 0.7399 1
```

Principal peaks in the range 10° ≤ 2θ ≤ 90°, most intense first:
index, d [Å], 2theta, intensity
1 3 0, 3.215, 27.75, 100
1 1 -2, 3.259, 27.37, 84
3 1 -2, 3.131, 28.51, 74
1 1 0, 6.153, 14.39, 62
2 2 0, 3.077, 29.02, 55
3 3 0, 2.052, 44.14, 51

***

[2]
This entry pairs a crystal structure of CsCoPbF6 with its computed XRD peak list. Radiation: Cu Ka. Structure: the GGA+U geometry in Alexandria.
Intensities are scaled so that the largest is 100.

Structure:
```
data_CsCoPbF6
_chemical_formula_sum 'Cs4 Co4 Pb4 F24'
_symmetry_space_group_name_H-M 'I m m a'
_symmetry_Int_Tables_number 74
_symmetry_space_group_name_Hall '-I 2b 2'
_cell_length_a 7.5033
_cell_length_b 8.2255
_cell_length_c 10.4194
_cell_angle_alpha 90.00
_cell_angle_beta 90.00
_cell_angle_gamma 90.00
loop_
_atom_site_label
_atom_site_fract_x
_atom_site_fract_y
_atom_site_fract_z
_atom_site_occupancy
Cs1 0.0000 0.2500 0.0981 1
Co1 0.2500 0.2500 0.7500 1
Pb1 0.0000 0.0000 0.5000 1
F1 0.0000 0.2500 0.3802 1
F2 0.0000 0.2500 0.7002 1
F3 0.2205 0.0898 0.8742 1
```

Principal peaks in the range 10° ≤ 2θ ≤ 90°, most intense first:
index, d [Å], 2theta, intensity
1 2 1, 3.408, 26.15, 100
2 0 2, 3.044, 29.34, 41
2 2 4, 1.898, 47.93, 40
0 2 2, 3.228, 27.63, 31
3 2 1, 2.093, 43.22, 30
2 1 1, 3.244, 27.50, 29

***

[3]
This entry pairs a crystal structure of Cs2CoPd3F12 with its computed XRD peak list. Radiation: Cu Ka. Structure: the GGA+U geometry in Alexandria.
Intensities are scaled so that the largest is 100.

Structure:
```
data_Cs2CoPd3F12
_chemical_formula_sum 'Cs6 Co3 Pd9 F36'
_symmetry_space_group_name_H-M 'R -3 m'
_symmetry_Int_Tables_number 166
_symmetry_space_group_name_Hall '-R 3 2"'
_cell_length_a 7.6188
_cell_length_b 7.6188
_cell_length_c 18.8831
_cell_angle_alpha 90.00
_cell_angle_beta 90.00
_cell_angle_gamma 120.00
loop_
_atom_site_label
_atom_site_fract_x
_atom_site_fract_y
_atom_site_fract_z
_atom_site_occupancy
Cs1 0.0000 0.0000 0.1328 1
Co1 0.0000 0.0000 0.5000 1
Pd1 0.0000 0.5000 0.0000 1
F1 0.0673 0.5337 0.3652 1
F2 0.0830 0.5415 0.1115 1
```

Principal peaks in the range 10° ≤ 2θ ≤ 90°, most intense first:
index, d [Å], 2theta, intensity
0 2 1, 3.256, 27.40, 100
2 0 8, 1.920, 47.36, 26
2 0 2, 3.114, 28.66, 24
2 2 0, 1.905, 47.75, 24
0 1 5, 3.278, 27.21, 22
3 0 3, 2.076, 43.59, 19